1.
Computed X-ray diffraction stick pattern of RbPr2Gd for a wavelength of 1.5418 Å, from a DFT-relaxed cell (GGA-PBE, Alexandria).

Atomic structure:
```
data_RbPr2Gd
_cell_length_a 3.7230
_cell_length_b 3.7230
_cell_length_c 40.9311
_cell_angle_alpha 90.00
_cell_angle_beta 90.00
_cell_angle_gamma 120.00
_space_group_name_H-M_alt 'R -3 m'
_space_group_IT_number 166
_space_group_name_Hall '-R 3 2"'
loop_
_atom_site_label
_atom_site_fract_x
_atom_site_fract_y
_atom_site_fract_z
Rb1 0.0000 0.0000 0.0000
Pr1 0.0000 0.0000 0.0961
Gd1 0.0000 0.0000 0.5000
```

Largest 10 diffraction maxima, in order of falling intensity, 2θ = 5–70°:
6.48 deg, rel. 100
35.44 deg, rel. 93
28.02 deg, rel. 76
29.78 deg, rel. 68
32.83 deg, rel. 48
26.13 deg, rel. 42
48.93 deg, rel. 39
56.30 deg, rel. 30
53.00 deg, rel. 27
60.18 deg, rel. 22

=====

2.
Computed X-ray diffraction stick pattern of MgTlCd2Hg4 for a wavelength of 1.5418 Å, from a DFT-relaxed cell (GGA-PBE, Alexandria).

Atomic structure:
```
data_MgTlCd2Hg4
_cell_length_a 5.1666
_cell_length_b 5.1666
_cell_length_c 25.6529
_cell_angle_alpha 90.00
_cell_angle_beta 90.00
_cell_angle_gamma 120.00
_space_group_name_H-M_alt 'R -3 m'
_space_group_IT_number 166
_space_group_name_Hall '-R 3 2"'
loop_
_atom_site_label
_atom_site_fract_x
_atom_site_fract_y
_atom_site_fract_z
Mg1 0.0000 0.0000 0.0000
Tl1 0.0000 0.0000 0.5000
Cd1 0.0000 0.0000 0.2459
Hg1 0.0000 0.0000 0.1155
Hg2 0.0000 0.0000 0.3674
```

Largest 10 diffraction maxima, in order of falling intensity, 2θ = 5–70°:
34.73 deg, rel. 100
34.41 deg, rel. 90
62.04 deg, rel. 33
49.69 deg, rel. 32
62.25 deg, rel. 19
24.25 deg, rel. 16
31.56 deg, rel. 15
61.43 deg, rel. 11
26.43 deg, rel. 11
65.45 deg, rel. 10